Record 1
For HoScTc, a DFT-relaxed cell (PBE, Alexandria) gives the calculated X-ray diffraction stick pattern in this record (Cu Kα).

Cell and atoms:
Lattice parameters (Å, degrees): 6.8441 6.8441 7.3997 90.00 90.00 125.19
Sites, in units of the cell vectors:
Ho: 0.1917 0.8083 0.8880
Ho: 0.3083 0.6917 0.3880
Ho: 0.6917 0.3083 0.6120
Ho: 0.8083 0.1917 0.1120
Sc: 0.2012 0.2988 0.7500
Sc: 0.2988 0.2012 0.2500
Sc: 0.7012 0.7988 0.7500
Sc: 0.7988 0.7012 0.2500
Tc: 0.0991 0.9009 0.5332
Tc: 0.4009 0.5991 0.0332
Tc: 0.5991 0.4009 0.9668
Tc: 0.9009 0.0991 0.4668

Principal peaks in the range 2θ = 15–90°, by intensity:
2θ 28.9, intensity 100
2θ 41.7, intensity 79
2θ 28.3, intensity 58
2θ 34.3, intensity 38
2θ 35.8, intensity 32
2θ 31.8, intensity 31
2θ 39.4, intensity 30
2θ 37.5, intensity 30
2θ 59.5, intensity 27
2θ 32.0, intensity 27

Record 2
For ZnIn2I4, a DFT-relaxed cell (PBE, Alexandria) gives the calculated X-ray diffraction stick pattern in this record (Cu Kα).

Cell and atoms:
Lattice parameters (Å, degrees): 7.1507 7.1507 7.1504 107.56 107.56 112.95
Sites, in units of the cell vectors:
Zn: 0.0000 0.0000 0.0000
In: 0.4963 0.9895 0.4928
In: 0.9895 0.4963 0.4928
I: 0.0249 0.0249 0.6447
I: 0.3774 0.3774 0.3541
I: 0.6197 0.9751 0.9991
I: 0.9751 0.6197 0.9991

Principal peaks in the range 2θ = 15–90°, by intensity:
2θ 26.2, intensity 100
2θ 31.1, intensity 57
2θ 30.9, intensity 57
2θ 27.1, intensity 44
2θ 33.5, intensity 42
2θ 15.4, intensity 38
2θ 26.0, intensity 32
2θ 45.8, intensity 32
2θ 29.8, intensity 25
2θ 30.0, intensity 24

Record 3
For LaScIn6, a DFT-relaxed cell (PBE, Alexandria) gives the calculated X-ray diffraction stick pattern in this record (Cu Kα).

Cell and atoms:
Lattice parameters (Å, degrees): 4.6757 4.6757 9.2534 90.00 90.00 90.00
Sites, in units of the cell vectors:
La: 0.0000 0.0000 0.0000
Sc: 0.0000 0.0000 0.5000
In: 0.0000 0.5000 0.2636
In: 0.0000 0.5000 0.7364
In: 0.5000 0.0000 0.2636
In: 0.5000 0.0000 0.7364
In: 0.5000 0.5000 0.0000
In: 0.5000 0.5000 0.5000

Principal peaks in the range 2θ = 15–90°, by intensity:
2θ 33.3, intensity 100
2θ 38.5, intensity 34
2θ 66.4, intensity 26
2θ 55.9, intensity 21
2θ 38.9, intensity 15
2θ 55.6, intensity 11
2θ 67.0, intensity 11
2θ 69.9, intensity 10
2θ 82.5, intensity 4
2θ 28.7, intensity 3

Record 4
For Ta2ZnTc, a DFT-relaxed cell (PBE, Alexandria) gives the calculated X-ray diffraction stick pattern in this record (Cu Kα).

Cell and atoms:
Lattice parameters (Å, degrees): 3.3006 3.3006 5.9616 90.00 90.00 90.00
Sites, in units of the cell vectors:
Ta: 0.0000 0.0000 0.0000
Ta: 0.5000 0.5000 0.2829
Zn: 0.5000 0.5000 0.7589
Tc: 0.0000 0.0000 0.5357

Principal peaks in the range 2θ = 15–90°, by intensity:
2θ 40.8, intensity 100
2θ 38.6, intensity 61
2θ 71.3, intensity 38
2θ 31.0, intensity 22
2θ 55.7, intensity 21
2θ 75.7, intensity 14
2θ 88.4, intensity 10
2θ 82.7, intensity 7
2θ 61.3, intensity 6
2θ 62.3, intensity 6

Record 5
For Ca2DyCu2S4, a DFT-relaxed cell (PBE, Alexandria) gives the calculated X-ray diffraction stick pattern in this record (Cu Kα).

Cell and atoms:
Lattice parameters (Å, degrees): 7.3978 7.3978 7.1556 112.21 112.21 29.23
Sites, in units of the cell vectors:
Ca: 0.1344 0.1344 0.0802
Ca: 0.8656 0.8656 0.9198
Dy: 0.0000 0.0000 0.5000
Cu: 0.3129 0.3129 0.4764
Cu: 0.6871 0.6871 0.5236
S: 0.2028 0.2028 0.7442
S: 0.4693 0.4693 0.7549
S: 0.5307 0.5307 0.2451
S: 0.7972 0.7972 0.2558

Principal peaks in the range 2θ = 15–90°, by intensity:
2θ 30.9, intensity 100
2θ 36.1, intensity 100
2θ 37.5, intensity 75
2θ 34.9, intensity 70
2θ 27.1, intensity 52
2θ 41.1, intensity 40
2θ 48.8, intensity 34
2θ 25.1, intensity 30
2θ 47.2, intensity 25
2θ 37.8, intensity 23

Record 6
For Re2TeRh, a DFT-relaxed cell (PBE, Alexandria) gives the calculated X-ray diffraction stick pattern in this record (Cu Kα).

Cell and atoms:
Lattice parameters (Å, degrees): 3.0446 3.7638 5.8876 90.00 90.00 90.00
Sites, in units of the cell vectors:
Re: 0.0000 0.0000 0.0000
Re: 0.5000 0.5000 0.1856
Te: 0.5000 0.5000 0.6787
Rh: 0.0000 0.0000 0.4562

Principal peaks in the range 2θ = 15–90°, by intensity:
2θ 38.0, intensity 100
2θ 38.8, intensity 82
2θ 42.7, intensity 63
2θ 66.5, intensity 34
2θ 48.4, intensity 25
2θ 74.6, intensity 24
2θ 15.0, intensity 22
2θ 83.3, intensity 17
2θ 76.2, intensity 14
2θ 60.9, intensity 13

Record 7
For Tl8Sb3S8, a DFT-relaxed cell (PBE, Alexandria) gives the calculated X-ray diffraction stick pattern in this record (Cu Kα).

Cell and atoms:
Lattice parameters (Å, degrees): 11.8522 11.8522 8.6818 90.34 90.34 28.21
Sites, in units of the cell vectors:
Tl: 0.0009 0.0009 0.3059
Tl: 0.2379 0.2379 0.6311
Tl: 0.3500 0.3500 0.9931
Tl: 0.3884 0.3884 0.5002
Tl: 0.6116 0.6116 0.4998
Tl: 0.6500 0.6500 0.0069
Tl: 0.7621 0.7621 0.3689
Tl: 0.9991 0.9991 0.6941
Sb: 0.1677 0.1677 0.1340
Sb: 0.5000 0.5000 0.0000
Sb: 0.8323 0.8323 0.8660
S: 0.0656 0.0656 0.0183
S: 0.1361 0.1361 0.4004
S: 0.2958 0.2958 0.2629
S: 0.4863 0.4863 0.2943
S: 0.5137 0.5137 0.7057
S: 0.7042 0.7042 0.7371
S: 0.8639 0.8639 0.5996
S: 0.9344 0.9344 0.9817

Principal peaks in the range 2θ = 15–90°, by intensity:
2θ 26.0, intensity 100
2θ 31.0, intensity 93
2θ 26.8, intensity 54
2θ 25.6, intensity 48
2θ 40.6, intensity 37
2θ 25.5, intensity 31
2θ 24.7, intensity 31
2θ 33.1, intensity 25
2θ 44.7, intensity 25
2θ 37.6, intensity 24

Record 8
For LiMg3In6, a DFT-relaxed cell (PBE, Alexandria) gives the calculated X-ray diffraction stick pattern in this record (Cu Kα).

Cell and atoms:
Lattice parameters (Å, degrees): 8.2459 8.2459 8.2459 105.42 105.42 105.42
Sites, in units of the cell vectors:
Li: 0.0000 0.0000 0.0000
Li: 0.5000 0.5000 0.5000
Mg: 0.0906 0.3782 0.2724
Mg: 0.2724 0.0906 0.3782
Mg: 0.3782 0.2724 0.0906
Mg: 0.6218 0.7276 0.9094
Mg: 0.7276 0.9094 0.6218
Mg: 0.9094 0.6218 0.7276
In: 0.0172 0.6867 0.1307
In: 0.1307 0.0172 0.6867
In: 0.2169 0.4500 0.6730
In: 0.3133 0.8693 0.9828
In: 0.3270 0.7831 0.5500
In: 0.4500 0.6730 0.2169
In: 0.5500 0.3270 0.7831
In: 0.6730 0.2169 0.4500
In: 0.6867 0.1307 0.0172
In: 0.7831 0.5500 0.3270
In: 0.8693 0.9828 0.3133
In: 0.9828 0.3133 0.8693

Principal peaks in the range 2θ = 15–90°, by intensity:
2θ 30.6, intensity 100
2θ 27.7, intensity 98
2θ 35.6, intensity 81
2θ 36.2, intensity 81
2θ 36.6, intensity 43
2θ 51.4, intensity 39
2θ 33.8, intensity 39
2θ 39.0, intensity 38
2θ 19.8, intensity 35
2θ 29.8, intensity 33